The following is a theoretical X-ray diffraction stick pattern of Lu3In3PdAu. It was derived from DFT lattice parameters and positions (GGA-PBE), using CuKα.
Lines closer than 0.1° are merged.

```
Lu3In3PdAu
1.0
7.6662 0.0000 0.0000
-3.8331 6.6391 0.0000
0.0000 0.0000 3.5995
Lu In Pd Au
3 3 1 1
Direct
0.0872 0.3409 0.0000
0.2537 0.9128 0.0000
0.6591 0.7463 0.0000
0.4360 0.3367 0.5000
0.6633 0.0993 0.5000
0.9007 0.5640 0.5000
0.3333 0.6667 0.5000
0.0000 0.0000 0.5000
```

Top 10 peaks for 10° ≤ 2θ ≤ 90°, sorted by position:
(hkl)  d [Å]  Rel. int.
1 0 0  6.639  21
1 1 1  2.624  100
1 2 0  2.509  71
2 0 1  2.440  66
3 0 0  2.213  18
1 3 0  1.841  17
3 1 1  1.639  26
1 2 2  1.462  26
3 2 1  1.403  19
1 4 1  1.344  19